# La5S8
Simulated powder diffraction line list, Cu Ka. Input: a cell relaxed with GGA-PBE.

Main lines, by angle (2θ from 5° to 70°):
6.188 Å, I 38; 3.572 Å, I 100; 2.772 Å, I 81; 2.758 Å, I 30; 2.341 Å, I 45; 2.334 Å, I 35; 1.959 Å, I 29; 1.865 Å, I 27

Crystal structure
```
13
Lattice="-4.3839 4.3839 4.3579 4.3839 -4.3839 4.3579 4.3839 4.3839 -4.3579" Properties=species:S:1:pos:R:3 pbc="T T T"
La 0.0000 0.0000 0.0000
La 3.2239 2.1631 -1.0084
La 2.2208 -1.1599 5.3663
La 1.1599 2.2208 3.3495
La 2.1631 5.5438 1.0084
S 5.9813 0.7112 -0.5532
S 1.3775 -0.6241 2.6108
S 3.0064 5.0080 -1.7471
S 0.7112 2.7865 0.5532
S 3.7598 3.0064 1.7471
S 3.6727 1.5974 4.9110
S -1.5974 3.6727 3.8047
S 0.6241 1.3775 6.1050
```

---

# K2MgPb
Simulated powder diffraction line list, Cu Ka. Input: a cell relaxed with GGA-PBE.

Main lines, by angle (2θ from 5° to 70°):
5.313 Å, I 72; 4.894 Å, I 33; 4.542 Å, I 42; 3.983 Å, I 37; 3.163 Å, I 33; 3.089 Å, I 100; 2.900 Å, I 26; 2.596 Å, I 21

Crystal structure
```
8
Lattice="5.1272 0.0000 0.0000 0.0000 6.3257 0.0000 0.0000 0.0000 9.7888" Properties=species:S:1:pos:R:3 pbc="T T T"
K 0.0000 0.0000 0.0000
K 0.0000 3.1629 1.9545
K 2.5636 0.0000 6.8489
K 2.5636 3.1629 4.8944
Mg 0.0000 3.1629 7.7278
Mg 2.5636 0.0000 2.8334
Pb 0.0000 0.0000 4.1423
Pb 2.5636 3.1629 9.0367
```